# CePr4O10
Simulated powder X-ray diffraction pattern, Cu Kα (λ = 1.5418 Å). Input: the GGA-PBE geometry in Alexandria.
Neutral-atom scattering factors, no anomalous dispersion.

Atomic structure:
Lattice parameters (Å, degrees): 6.916 6.916 6.916 99.99 99.99 130.78
Positions (direct):
Ce: 0.000 0.000 0.000
Pr: 0.201 0.400 0.600
Pr: 0.400 0.799 0.199
Pr: 0.600 0.201 0.801
Pr: 0.799 0.600 0.400
O: 0.049 0.339 0.904
O: 0.145 0.049 0.710
O: 0.250 0.750 0.500
O: 0.339 0.435 0.290
O: 0.435 0.145 0.096
O: 0.565 0.855 0.904
O: 0.661 0.565 0.710
O: 0.750 0.250 0.500
O: 0.855 0.951 0.290
O: 0.951 0.661 0.096

Peak list (10 most intense, 2θ from 5° to 70°, sorted by position)
2θ/deg, I_rel
27.25, 100
31.05, 10
31.82, 19
45.06, 38
45.62, 18
52.95, 16
53.96, 30
56.22, 9
64.73, 3
66.50, 5